This entry pairs a crystal structure of SbMoOF9 with its computed X-ray powder pattern. Radiation: λ = 1.5418 Å (Cu Kα). Structure: DFT lattice parameters and positions (GGA+U).
No peak broadening, texture or thermal motion is included.

Crystal structure
Unit cell a=7.654 b=10.691 c=12.179 alpha=90.00 beta=125.60 gamma=90.00
Positions (direct):
1 Sb 0.096 0.018 0.309
2 Sb 0.096 0.482 0.809
3 Sb 0.904 0.518 0.191
4 Sb 0.904 0.982 0.691
5 Mo 0.464 0.188 0.837
6 Mo 0.464 0.312 0.337
7 Mo 0.536 0.688 0.663
8 Mo 0.536 0.812 0.163
9 O 0.289 0.749 0.581
10 O 0.289 0.751 0.081
11 O 0.711 0.249 0.919
12 O 0.711 0.251 0.419
13 F 0.010 0.525 0.375
14 F 0.010 0.975 0.875
15 F 0.095 0.648 0.220
16 F 0.095 0.852 0.720
17 F 0.111 0.113 0.725
18 F 0.111 0.387 0.225
19 F 0.215 0.018 0.496
20 F 0.215 0.482 0.996
21 F 0.301 0.604 0.842
22 F 0.301 0.896 0.342
23 F 0.317 0.152 0.349
24 F 0.317 0.348 0.849
25 F 0.334 0.248 0.663
26 F 0.334 0.252 0.163
27 F 0.453 0.140 0.981
28 F 0.453 0.360 0.481
29 F 0.486 0.528 0.696
30 F 0.486 0.972 0.196
31 F 0.514 0.028 0.804
32 F 0.514 0.472 0.304
33 F 0.547 0.640 0.519
34 F 0.547 0.860 0.019
35 F 0.666 0.748 0.837
36 F 0.666 0.752 0.337
37 F 0.683 0.652 0.151
38 F 0.683 0.848 0.651
39 F 0.699 0.104 0.658
40 F 0.699 0.396 0.158
41 F 0.785 0.518 0.004
42 F 0.785 0.982 0.504
43 F 0.889 0.613 0.775
44 F 0.889 0.887 0.275
45 F 0.905 0.148 0.280
46 F 0.905 0.352 0.780
47 F 0.990 0.025 0.125
48 F 0.990 0.475 0.625

The 8 most intense peaks (2θ = 10–90°), by intensity:
2θ/deg  intensity  index
21.9  100  1 2 0
22.4  96  1 2 -2
17.9  62  0 0 2
17.2  52  1 1 -2
15.0  46  1 0 -2
25.9  34  2 1 -1
19.8  34  0 1 2
46.7  34  3 3 -1